For Li4In2IrAu, a structure optimized by DFT (GGA-PBE) gives the computed powder X-ray diffraction pattern in this record (λ = 1.5418 Å (Cu Kα)).
Intensities are scaled so that the largest is 100.

Top 10 peaks for 2θ = 15–90°, in order of falling intensity:
24.15 deg, I 100; 39.95 deg, I 87; 47.23 deg, I 50; 63.53 deg, I 21; 72.59 deg, I 20; 77.79 deg, I 12; 57.83 deg, I 10; 72.48 deg, I 9; 27.95 deg, I 6; 86.14 deg, I 6

Crystal structure
```
data_Li4In2IrAu
_chemical_formula_sum 'Li4 In2 Ir1 Au1'
_cell_length_a 4.5097
_cell_length_b 4.5097
_cell_length_c 6.3943
_cell_angle_alpha 90.00
_cell_angle_beta 90.00
_cell_angle_gamma 90.00
_symmetry_space_group_name_H-M 'P -4 m 2'
_symmetry_Int_Tables_number 115
loop_
_symmetry_equiv_pos_as_xyz
'x,y,z'
'y,-x,-z'
'-x,-y,z'
'-y,x,-z'
'-x,y,z'
'-y,-x,-z'
'x,-y,z'
'y,x,-z'
loop_
_atom_site_label
_atom_site_fract_x
_atom_site_fract_y
_atom_site_fract_z
Li1 0.0000 0.0000 0.0000
Li2 0.0000 0.5000 0.2468
Li3 0.5000 0.5000 0.5000
In1 0.0000 0.5000 0.7675
Ir1 0.5000 0.5000 0.0000
Au1 0.0000 0.0000 0.5000
```